Computed powder XRD pattern
Compound: YTmCo2Br2
Radiation: Cu Kα, 1.54184 Å
Structure: a crystal structure in OQMD, relaxed with GGA-PBE
Lines closer than 0.1° are merged.

Largest 12 diffraction maxima, most intense first, 2θ from 10° to 90°:
2θ/deg, Rel. int.
36.0, 100
46.9, 43
31.1, 41
27.7, 38
70.1, 28
49.0, 22
60.5, 22
79.9, 19
42.1, 15
47.6, 9
26.5, 9
83.0, 8

Crystal structure
```
YTmCo2Br2
1.0
3.877 0.000 0.000
-1.939 3.358 0.000
0.000 0.000 11.164
Y Tm Co Br
1 1 2 2
Direct
0.000 0.000 0.000
0.000 0.000 0.330
0.333 0.667 0.162
0.667 0.333 0.174
0.333 0.667 0.500
0.667 0.333 0.827
```

***

Computed powder XRD pattern
Compound: Cs3Cu2Br5
Radiation: Cu Kα, 1.54184 Å
Structure: a crystal structure in OQMD, relaxed with GGA-PBE
Lines closer than 0.1° are merged.

Largest 12 diffraction maxima, most intense first, 2θ from 10° to 90°:
2θ/deg, Rel. int.
27.6, 100
26.8, 91
32.3, 75
29.4, 62
25.2, 49
27.5, 49
51.5, 40
50.3, 37
28.3, 34
24.3, 33
21.4, 31
37.5, 31

Crystal structure
```
Cs3Cu2Br5
1.0
9.730 0.000 0.000
0.000 11.100 0.000
0.000 0.000 13.785
Cs Cu Br
12 8 20
Direct
0.047 0.013 0.177
0.047 0.487 0.177
0.098 0.750 0.454
0.402 0.250 0.954
0.453 0.513 0.677
0.453 0.987 0.677
0.547 0.013 0.323
0.547 0.487 0.323
0.598 0.750 0.046
0.902 0.250 0.546
0.953 0.513 0.823
0.953 0.987 0.823
0.208 0.750 0.049
0.248 0.250 0.370
0.252 0.750 0.870
0.292 0.250 0.549
0.708 0.750 0.451
0.748 0.250 0.130
0.752 0.750 0.630
0.792 0.250 0.951
0.033 0.250 0.988
0.169 0.750 0.709
0.190 0.062 0.446
0.190 0.438 0.446
0.201 0.250 0.710
0.299 0.750 0.210
0.310 0.562 0.946
0.310 0.938 0.946
0.331 0.250 0.209
0.467 0.750 0.488
0.533 0.250 0.512
0.669 0.750 0.791
0.690 0.062 0.054
0.690 0.438 0.054
0.701 0.250 0.790
0.799 0.750 0.290
0.810 0.562 0.554
0.810 0.938 0.554
0.831 0.250 0.291
0.967 0.750 0.012
```

***

Computed powder XRD pattern
Compound: Cs2LiCuBr6
Radiation: Cu Kα, 1.54184 Å
Structure: a crystal structure in OQMD, relaxed with GGA-PBE
Lines closer than 0.1° are merged.

Largest 12 diffraction maxima, most intense first, 2θ from 10° to 90°:
2θ/deg, Rel. int.
29.1, 100
33.7, 75
48.4, 52
57.5, 42
80.9, 23
60.3, 18
78.4, 17
23.7, 16
14.4, 9
70.9, 8
41.6, 7
65.7, 4

Crystal structure
```
Cs2LiCuBr6
1.0
0.000 5.315 5.315
5.315 0.000 5.315
5.315 5.315 0.000
Cs Li Cu Br
2 1 1 6
Direct
0.250 0.250 0.250
0.750 0.750 0.750
0.000 0.000 0.000
0.500 0.500 0.500
0.258 0.258 0.742
0.258 0.742 0.258
0.258 0.742 0.742
0.742 0.258 0.258
0.742 0.258 0.742
0.742 0.742 0.258
```